The following is a computed powder XRD pattern of Li3CuPd5. It was derived from a PBE-relaxed structure, using a wavelength of 1.5418 Å.
No peak broadening, texture or thermal motion is included.

Main lines, most intense first (10° ≤ 2θ ≤ 90°):
two_theta, I_rel, hkl
39.58, 100, 2 0 4
42.36, 44, 2 2 0
24.49, 31, 1 1 2
75.61, 24, 4 2 4
29.61, 19, 2 0 0
61.46, 13, 4 0 0

Structure:
```
data_Li3CuPd5
_symmetry_space_group_name_H-M 'I 4/m c m'
_symmetry_Int_Tables_number 140
_symmetry_space_group_name_Hall '-I 4 2c'
_cell_length_a 6.035
_cell_length_b 6.035
_cell_length_c 13.884
_cell_angle_alpha 90.00
_cell_angle_beta 90.00
_cell_angle_gamma 90.00
loop_
_atom_site_label
_atom_site_type_symbol
_atom_site_fract_x
_atom_site_fract_y
_atom_site_fract_z
_atom_site_occupancy
Li1 Li 0.000 0.000 0.250 1
Li2 Li 0.117 0.383 0.000 1
Cu1 Cu 0.000 0.500 0.250 1
Pd1 Pd 0.000 0.000 0.000 1
Pd2 Pd 0.230 0.270 0.359 1
```

=====

The following is a computed powder XRD pattern of Li3CuPd3. It was derived from a PBE-relaxed structure, using a wavelength of 1.5418 Å.
No peak broadening, texture or thermal motion is included.

Main lines, most intense first (10° ≤ 2θ ≤ 90°):
two_theta, I_rel, hkl
21.00, 100, 1 0 1
42.75, 86, 2 0 2
43.07, 84, 2 2 0
29.98, 79, 0 2 1
36.98, 48, 2 1 1
62.30, 27, 0 4 2

Structure:
```
data_Li3CuPd3
_symmetry_space_group_name_H-M 'R 3 m'
_symmetry_Int_Tables_number 160
_symmetry_space_group_name_Hall 'R 3 -2"'
_cell_length_a 8.4010
_cell_length_b 8.4010
_cell_length_c 5.1998
_cell_angle_alpha 90.00
_cell_angle_beta 90.00
_cell_angle_gamma 120.00
loop_
_atom_site_label
_atom_site_type_symbol
_atom_site_fract_x
_atom_site_fract_y
_atom_site_fract_z
_atom_site_occupancy
Li1 Li 0.0006 0.5003 0.0000 1
Cu1 Cu 0.0000 0.0000 0.0023 1
Pd1 Pd 0.0006 0.5003 0.5000 1
```

=====

The following is a computed powder XRD pattern of Li6CuPd. It was derived from a PBE-relaxed structure, using a wavelength of 1.5418 Å.
No peak broadening, texture or thermal motion is included.

Main lines, most intense first (10° ≤ 2θ ≤ 90°):
two_theta, I_rel, hkl
10.71, 100, 0 0 2
38.86, 25, 1 1 4
33.81, 23, 1 1 2
21.51, 20, 0 0 4
31.97, 14, 1 1 0
46.24, 12, 1 1 6

Structure:
```
data_Li6CuPd
_symmetry_space_group_name_H-M 'I 4/m m m'
_symmetry_Int_Tables_number 139
_symmetry_space_group_name_Hall '-I 4 2'
_cell_length_a 3.959
_cell_length_b 3.959
_cell_length_c 16.524
_cell_angle_alpha 90.00
_cell_angle_beta 90.00
_cell_angle_gamma 90.00
loop_
_atom_site_label
_atom_site_type_symbol
_atom_site_fract_x
_atom_site_fract_y
_atom_site_fract_z
_atom_site_occupancy
Li1 Li 0.000 0.000 0.248 1
Li2 Li 0.000 0.500 0.104 1
Cu1 Cu 0.000 0.000 0.500 1
Pd1 Pd 0.000 0.000 0.000 1
```

=====

The following is a computed powder XRD pattern of LiCuPd14. It was derived from a PBE-relaxed structure, using a wavelength of 1.5418 Å.
No peak broadening, texture or thermal motion is included.

Main lines, most intense first (10° ≤ 2θ ≤ 90°):
two_theta, I_rel, hkl
42.60, 100, 2 0 4
38.84, 35, 1 2 2
39.52, 34, 4 0 0
48.34, 18, 3 2 2
81.36, 16, 4 2 6
67.74, 14, 0 2 6

Structure:
```
data_LiCuPd14
_symmetry_space_group_name_H-M 'A m m 2'
_symmetry_Int_Tables_number 38
_cell_length_a 9.122
_cell_length_b 5.545
_cell_length_c 9.576
_cell_angle_alpha 90.00
_cell_angle_beta 90.00
_cell_angle_gamma 90.00
loop_
_symmetry_equiv_pos_as_xyz
'x,y,z'
'-x,-y,z'
'-x,y,z'
'x,-y,z'
'x,y+1/2,z+1/2'
'-x,-y+1/2,z+1/2'
'-x,y+1/2,z+1/2'
'x,-y+1/2,z+1/2'
loop_
_atom_site_label
_atom_site_type_symbol
_atom_site_fract_x
_atom_site_fract_y
_atom_site_fract_z
_atom_site_occupancy
Li1 Li 0.000 0.000 0.000 1
Cu1 Cu 0.000 0.000 0.500 1
Pd1 Pd 0.000 0.249 0.750 1
Pd2 Pd 0.243 0.250 0.084 1
Pd3 Pd 0.245 0.000 0.336 1
Pd4 Pd 0.247 0.000 0.835 1
Pd5 Pd 0.500 0.000 0.169 1
Pd6 Pd 0.500 0.000 0.668 1
Pd7 Pd 0.500 0.250 0.419 1
```

=====

The following is a computed powder XRD pattern of Li2CuPd8. It was derived from a PBE-relaxed structure, using a wavelength of 1.5418 Å.
No peak broadening, texture or thermal motion is included.

Main lines, most intense first (10° ≤ 2θ ≤ 90°):
two_theta, I_rel, hkl
40.16, 100, 1 1 2
46.55, 16, 4 0 -3
46.73, 16, 6 0 1
46.86, 16, 0 2 0
81.97, 12, 3 1 -5
82.42, 12, 1 3 2

Structure:
```
data_Li2CuPd8
_symmetry_space_group_name_H-M 'C 1 2/m 1'
_symmetry_Int_Tables_number 12
_cell_length_a 14.026
_cell_length_b 3.878
_cell_length_c 6.170
_cell_angle_alpha 90.00
_cell_angle_beta 105.38
_cell_angle_gamma 90.00
loop_
_symmetry_equiv_pos_as_xyz
'x,y,z'
'-x,-y,-z'
'-x,y,-z'
'x,-y,z'
'x+1/2,y+1/2,z'
'-x+1/2,-y+1/2,-z'
'-x+1/2,y+1/2,-z'
'x+1/2,-y+1/2,z'
loop_
_atom_site_label
_atom_site_type_symbol
_atom_site_fract_x
_atom_site_fract_y
_atom_site_fract_z
_atom_site_occupancy
Li1 Li 0.227 0.000 0.142 1
Cu1 Cu 0.000 0.500 0.500 1
Pd1 Pd 0.046 0.000 0.230 1
Pd2 Pd 0.094 0.500 0.950 1
Pd3 Pd 0.138 0.000 0.686 1
Pd4 Pd 0.181 0.500 0.409 1
```

=====

The following is a computed powder XRD pattern of Li4Cu4Pd3. It was derived from a PBE-relaxed structure, using a wavelength of 1.5418 Å.
No peak broadening, texture or thermal motion is included.

Main lines, most intense first (10° ≤ 2θ ≤ 90°):
two_theta, I_rel, hkl
22.77, 100, 0 1 1
43.77, 96, 1 2 2
25.82, 83, 1 0 -1
25.99, 78, 1 1 1
42.08, 77, 0 2 -1
42.72, 75, 2 1 0

Structure:
```
data_Li4Cu4Pd3
_symmetry_space_group_name_H-M 'P -1'
_symmetry_Int_Tables_number 2
_cell_length_a 4.233
_cell_length_b 4.932
_cell_length_c 7.740
_cell_angle_alpha 89.19
_cell_angle_beta 89.73
_cell_angle_gamma 65.50
loop_
_symmetry_equiv_pos_as_xyz
'x,y,z'
'-x,-y,-z'
loop_
_atom_site_label
_atom_site_type_symbol
_atom_site_fract_x
_atom_site_fract_y
_atom_site_fract_z
_atom_site_occupancy
Li1 Li 0.099 0.301 0.142 1
Li2 Li 0.283 0.935 0.423 1
Cu1 Cu 0.368 0.767 0.035 1
Cu2 Cu 0.468 0.562 0.701 1
Pd1 Pd 0.000 0.500 0.500 1
Pd2 Pd 0.184 0.132 0.778 1
```